# 1
Theoretical powder X-ray diffraction pattern of Ba2NdAg2S4 for copper Kα, from a DFT-relaxed cell (PBE, Alexandria).
Intensities are scaled so that the largest is 100.

Largest 10 diffraction maxima, in order of rising 2θ, 2θ from 5° to 70°:
2θ/deg, d (Å), Rel. int.
12.32, 7.186, 29
22.74, 3.911, 38
24.79, 3.592, 39
28.15, 3.170, 91
31.90, 2.805, 62
32.82, 2.729, 65
34.30, 2.615, 100
44.60, 2.032, 33
46.56, 1.950, 32
51.71, 1.768, 29

Structural model:
```
Ba2NdAg2S4
1.0
7.9156 -2.0317 0.0000
7.9156 2.0317 0.0000
-3.1795 0.0000 7.1838
Ba Nd Ag S
2 1 2 4
Cartesian
1.8883 0.0000 0.5675
10.7633 0.0000 6.6163
-1.5897 0.0000 3.5919
3.4290 0.0000 3.5125
9.2226 0.0000 3.6713
0.7008 0.0000 5.3204
5.2332 0.0000 5.3842
7.4184 0.0000 1.7996
11.9508 0.0000 1.8634
```



# 2
Theoretical powder X-ray diffraction pattern of PaNi6Ag for copper Kα, from a DFT-relaxed cell (PBE, Alexandria).
Intensities are scaled so that the largest is 100.

Largest 10 diffraction maxima, in order of rising 2θ, 2θ from 5° to 70°:
2θ/deg, d (Å), Rel. int.
18.59, 4.772, 14
26.41, 3.375, 45
32.49, 2.755, 6
37.70, 2.386, 46
42.35, 2.134, 48
46.62, 1.948, 100
54.37, 1.687, 7
57.97, 1.591, 4
61.44, 1.509, 9
64.79, 1.439, 2

Structural model:
```
PaNi6Ag
1.0
4.7725 0.0000 0.0000
0.0000 4.7725 0.0000
0.0000 0.0000 4.7725
Pa Ni Ag
1 6 1
Cartesian
0.0000 0.0000 0.0000
0.0000 2.3862 1.2083
0.0000 2.3862 3.5642
1.2083 0.0000 2.3862
2.3862 1.2083 0.0000
2.3862 3.5642 0.0000
3.5642 0.0000 2.3862
2.3862 2.3862 2.3862
```



# 3
Theoretical powder X-ray diffraction pattern of Sm3Ni6Ge5 for copper Kα, from a DFT-relaxed cell (PBE, Alexandria).
Intensities are scaled so that the largest is 100.

Largest 10 diffraction maxima, in order of rising 2θ, 2θ from 5° to 70°:
2θ/deg, d (Å), Rel. int.
31.26, 2.861, 22
35.79, 2.509, 35
35.92, 2.500, 46
36.60, 2.455, 100
44.57, 2.033, 22
45.01, 2.014, 32
52.93, 1.730, 21
58.52, 1.577, 16
58.80, 1.571, 16
67.23, 1.393, 16

Structural model:
```
Sm3Ni6Ge5
1.0
4.0278 0.0000 0.0000
0.0000 12.1964 0.0000
0.0000 0.0000 9.5649
Sm Ni Ge
6 12 10
Cartesian
1.0070 1.0116 2.3770
1.0070 5.0866 2.3770
1.0070 9.1473 2.3706
3.0209 3.0491 7.1942
3.0209 7.1098 7.1879
3.0209 11.1849 7.1879
1.0070 0.7290 5.7153
1.0070 3.0491 4.7942
1.0070 3.0491 9.4898
1.0070 5.3692 5.7153
1.0070 7.0891 0.0423
1.0070 11.2056 0.0423
3.0209 0.9908 9.5226
3.0209 5.1074 9.5226
3.0209 6.8272 3.8496
3.0209 9.1473 0.0751
3.0209 9.1473 4.7707
3.0209 11.4674 3.8496
1.0070 0.9916 8.2129
1.0070 5.1066 8.2129
1.0070 7.6727 4.9663
1.0070 9.1473 8.3446
1.0070 10.6219 4.9663
3.0209 1.5745 4.5986
3.0209 3.0491 1.2203
3.0209 4.5237 4.5986
3.0209 7.0898 1.3520
3.0209 11.2048 1.3520
```



# 4
Theoretical powder X-ray diffraction pattern of Ba3RhBr3 for copper Kα, from a DFT-relaxed cell (PBE, Alexandria).
Intensities are scaled so that the largest is 100.

Largest 10 diffraction maxima, in order of rising 2θ, 2θ from 5° to 70°:
2θ/deg, d (Å), Rel. int.
11.81, 7.490, 30
26.30, 3.388, 53
27.10, 3.290, 100
37.23, 2.415, 18
38.12, 2.361, 74
40.13, 2.247, 18
46.15, 1.967, 18
48.62, 1.873, 19
61.57, 1.506, 14
62.79, 1.480, 14

Structural model:
```
Ba3RhBr3
1.0
8.3208 -4.4939 0.0000
8.3208 4.4939 0.0000
-5.6060 0.0000 7.8689
Ba Rh Br
6 2 6
Cartesian
10.9082 -2.2468 2.2070
0.1272 2.2468 5.6619
-1.2111 0.0000 2.1017
10.9082 2.2468 2.2070
0.1272 -2.2468 5.6619
12.2466 0.0000 5.7672
1.1418 0.0000 3.7768
9.8936 0.0000 4.0921
-1.5643 0.0000 7.7851
8.3208 2.2618 0.0000
5.5177 2.2652 3.9345
8.3208 -2.2618 0.0000
5.5177 -2.2652 3.9345
12.5997 0.0000 0.0839
```



Number 4 is which compound?
Ba3RhBr3